(1)
For Sm4Er15Th, DFT lattice parameters and positions (PBE) gives the calculated X-ray powder pattern in this record (a wavelength of 1.5418 Å).

Most intense lines, 10 to 90 degrees two-theta, in order of rising 2θ:
- hkl 1 1 5, 30.98°, intensity 100
- hkl 2 0 0, 35.86°, intensity 34
- hkl 0 0 10, 36.06°, intensity 17
- hkl 2 2 0, 51.63°, intensity 12
- hkl 2 0 10, 51.77°, intensity 24
- hkl 3 1 5, 61.44°, intensity 29
- hkl 1 1 15, 61.70°, intensity 14
- hkl 2 2 10, 64.58°, intensity 12
- hkl 3 3 5, 84.32°, intensity 6
- hkl 3 1 15, 84.55°, intensity 12

Crystal structure
abc: 5.008 5.008 24.909
angles: 90.00 90.00 90.00
Space group P4/mmm (No. 123)
One atom of each set of equivalent atoms:
Sm  0.000  0.000  0.100
Sm  0.000  0.000  0.301
Er  0.000  0.500  0.000
Er  0.000  0.500  0.201
Er  0.000  0.500  0.402
Er  0.500  0.500  0.100
Er  0.500  0.500  0.300
Er  0.500  0.500  0.500
Th  0.000  0.000  0.500


(2)
For Sm5Er2Th4, DFT lattice parameters and positions (PBE) gives the calculated X-ray powder pattern in this record (a wavelength of 1.5418 Å).

Most intense lines, 10 to 90 degrees two-theta, in order of rising 2θ:
- hkl 0 2 0, 25.64°, intensity 23
- hkl 3 1 0, 27.57°, intensity 45
- hkl 2 2 -1, 29.86°, intensity 52
- hkl 0 0 3, 30.50°, intensity 73
- hkl 4 0 0, 32.69°, intensity 100
- hkl 3 1 1, 32.88°, intensity 20
- hkl 4 0 -3, 34.15°, intensity 30
- hkl 2 2 1, 34.34°, intensity 48
- hkl 0 4 3, 62.12°, intensity 19
- hkl 0 0 6, 63.45°, intensity 17

Crystal structure
abc: 12.068 6.946 9.692
angles: 90.00 114.86 90.00
Space group C2/m (No. 12)
One atom of each set of equivalent atoms:
Sm  0.000  0.000  0.000
Sm  0.108  0.270  0.330
Er  0.128  0.000  0.662
Th  0.146  0.500  0.997
Th  0.156  0.500  0.677


(3)
For Sm6Er8Th, DFT lattice parameters and positions (PBE) gives the calculated X-ray powder pattern in this record (a wavelength of 1.5418 Å).

Most intense lines, 10 to 90 degrees two-theta, in order of rising 2θ:
- hkl 3 -1 1, 30.53°, intensity 19
- hkl 2 0 5, 31.46°, intensity 100
- hkl 1 0 7, 32.36°, intensity 30
- hkl 1 1 6, 32.65°, intensity 8
- hkl 2 1 4, 34.94°, intensity 11
- hkl 0 3 3, 36.84°, intensity 15
- hkl 0 3 9, 53.08°, intensity 11
- hkl 3 2 4, 54.07°, intensity 8
- hkl 5 -1 3, 55.43°, intensity 9
- hkl 5 -2 7, 60.31°, intensity 11

Crystal structure
abc: 9.0355 9.0355 20.7051
angles: 90.00 90.00 120.00
Space group R-3 (No. 148, hexagonal axes)
One atom of each set of equivalent atoms:
Sm  0.0603  0.2475  0.2104
Er  0.0000  0.0000  0.0771
Er  0.0814  0.5593  0.3057
Th  0.0000  0.0000  0.5000


(4)
For Sm7Er16Th6, DFT lattice parameters and positions (PBE) gives the calculated X-ray powder pattern in this record (a wavelength of 1.5418 Å).

Most intense lines, 10 to 90 degrees two-theta, in order of rising 2θ:
- hkl 4 2 2, 27.96°, intensity 30
- hkl 3 3 3, 29.69°, intensity 91
- hkl 4 4 0, 32.39°, intensity 100
- hkl 5 3 1, 33.92°, intensity 25
- hkl 6 0 0, 34.42°, intensity 41
- hkl 6 2 2, 38.18°, intensity 21
- hkl 8 0 0, 46.47°, intensity 16
- hkl 6 6 0, 49.47°, intensity 26
- hkl 5 5 5, 50.56°, intensity 19
- hkl 9 3 3, 58.76°, intensity 41

Crystal structure
abc: 15.634 15.634 15.634
angles: 90.00 90.00 90.00
Space group Fm-3m (No. 225)
One atom of each set of equivalent atoms:
Sm  0.000  0.000  0.000
Sm  0.000  0.250  0.250
Er  0.121  0.121  0.121
Er  0.158  0.158  0.342
Th  0.000  0.000  0.331


(5)
For SmEr14Th, DFT lattice parameters and positions (PBE) gives the calculated X-ray powder pattern in this record (a wavelength of 1.5418 Å).

Most intense lines, 10 to 90 degrees two-theta, in order of rising 2θ:
- hkl 1 0 4, 30.21°, intensity 45
- hkl 4 0 0, 31.40°, intensity 35
- hkl 2 2 2, 33.20°, intensity 100
- hkl 3 0 4, 37.72°, intensity 25
- hkl 5 0 4, 49.87°, intensity 11
- hkl 0 2 6, 51.72°, intensity 17
- hkl 6 2 2, 57.05°, intensity 21
- hkl 4 4 0, 61.64°, intensity 10
- hkl 4 2 6, 61.77°, intensity 20
- hkl 2 4 4, 62.76°, intensity 11

Crystal structure
abc: 11.396 7.088 12.233
angles: 90.00 90.00 90.00
Space group Amm2 (No. 38)
One atom of each set of equivalent atoms:
Sm  0.000  0.000  0.000
Er  0.000  0.250  0.250
Er  0.251  0.000  0.665
Er  0.252  0.248  0.417
Er  0.253  0.000  0.167
Er  0.500  0.000  0.333
Er  0.500  0.000  0.833
Er  0.500  0.249  0.084
Th  0.000  0.000  0.498


(6)
For Sm2Er2Th, DFT lattice parameters and positions (PBE) gives the calculated X-ray powder pattern in this record (a wavelength of 1.5418 Å).

Most intense lines, 10 to 90 degrees two-theta, in order of rising 2θ:
- hkl 1 1 0, 30.84°, intensity 96
- hkl 1 0 2, 31.20°, intensity 100
- hkl 0 1 2, 33.10°, intensity 41
- hkl 2 0 -1, 33.37°, intensity 42
- hkl 0 1 3, 40.98°, intensity 22
- hkl 2 1 1, 47.71°, intensity 30
- hkl 2 1 2, 53.84°, intensity 20
- hkl 1 1 4, 58.09°, intensity 25
- hkl 3 0 1, 58.22°, intensity 17
- hkl 1 2 2, 61.90°, intensity 29

Crystal structure
abc: 5.371 3.517 8.885
angles: 90.00 107.52 90.00
Space group P2/m (No. 10)
One atom of each set of equivalent atoms:
Sm  0.198  0.000  0.397
Er  0.396  0.500  0.793
Th  0.000  0.000  0.000